Computed X-ray powder pattern
Compound: Li2MgCr3S6O24
Radiation: Cu Kα (weighted mean of Kα1 and Kα2)
Structure: DFT lattice parameters and positions (PBE+U)

Structural model:
Cell lengths 8.346, 8.453, 8.960 Å; angles 117.50, 90.23, 119.09 degrees
Fractional positions:
Li: 0.000 0.000 0.000
Li: 0.250 0.675 0.003
Mg: 0.073 0.902 0.311
Cr: 0.279 0.302 0.900
Cr: 0.578 0.914 0.812
Cr: 0.782 0.323 0.430
S: 0.182 0.415 0.617
S: 0.388 0.106 0.111
S: 0.472 0.109 0.606
S: 0.688 0.840 0.121
S: 0.871 0.801 0.613
S: 0.957 0.389 0.106
O: 0.040 0.944 0.772
O: 0.045 0.470 0.587
O: 0.048 0.597 0.119
O: 0.088 0.310 0.066
O: 0.144 0.217 0.466
O: 0.164 0.400 0.778
O: 0.192 0.993 0.128
O: 0.326 0.980 0.436
O: 0.380 0.594 0.656
O: 0.403 0.927 0.970
O: 0.413 0.255 0.060
O: 0.451 0.279 0.741
O: 0.451 0.961 0.662
O: 0.484 0.682 0.082
O: 0.531 0.217 0.279
O: 0.669 0.216 0.587
O: 0.720 0.881 0.970
O: 0.734 0.871 0.647
O: 0.753 0.044 0.286
O: 0.771 0.234 0.962
O: 0.774 0.580 0.579
O: 0.814 0.770 0.135
O: 0.926 0.420 0.277
O: 0.927 0.809 0.462

Peak list (10 most intense, 5 to 70 degrees two-theta, by angle)
14.15°, d = 6.261 Å, intensity 34, (0 1 0)
14.54°, d = 6.093 Å, intensity 59, (1 -1 1)
19.70°, d = 4.507 Å, intensity 43, (1 0 1)
19.90°, d = 4.462 Å, intensity 20, (0 1 -2)
23.76°, d = 3.744 Å, intensity 41, (1 1 0)
23.91°, d = 3.722 Å, intensity 28, (1 -2 0)
24.17°, d = 3.682 Å, intensity 29, (1 1 -2)
24.33°, d = 3.659 Å, intensity 100, (-2 1 1)
28.51°, d = 3.130 Å, intensity 20, (0 2 0)
31.87°, d = 2.808 Å, intensity 44, (2 -1 2)